[1]
For BaSi23, a DFT-relaxed cell (GGA-PBE, the Materials Project) gives the simulated X-ray diffraction stick pattern in this record (λ = 1.5418 Å (Cu Kα)).
Neutral-atom scattering factors, no anomalous dispersion.

Structural model:
```
BaSi23
1.0
10.273 0.000 0.000
0.000 10.273 0.000
0.000 0.000 10.273
Ba Si
2 46
Direct
0.000 0.000 0.000
0.500 0.500 0.500
0.000 0.117 0.310
0.000 0.117 0.690
0.000 0.250 0.500
0.000 0.750 0.500
0.000 0.883 0.310
0.000 0.883 0.690
0.117 0.310 0.000
0.117 0.690 0.000
0.185 0.185 0.185
0.185 0.185 0.815
0.185 0.815 0.185
0.185 0.815 0.815
0.190 0.383 0.500
0.190 0.617 0.500
0.250 0.500 0.000
0.310 0.000 0.117
0.310 0.000 0.883
0.315 0.315 0.315
0.315 0.315 0.685
0.315 0.685 0.315
0.315 0.685 0.685
0.383 0.500 0.190
0.383 0.500 0.810
0.500 0.000 0.250
0.500 0.000 0.750
0.500 0.190 0.383
0.500 0.190 0.617
0.500 0.810 0.383
0.500 0.810 0.617
0.617 0.500 0.190
0.617 0.500 0.810
0.685 0.315 0.315
0.685 0.315 0.685
0.685 0.685 0.315
0.685 0.685 0.685
0.690 0.000 0.117
0.690 0.000 0.883
0.750 0.500 0.000
0.810 0.383 0.500
0.810 0.617 0.500
0.815 0.185 0.185
0.815 0.185 0.815
0.815 0.815 0.185
0.815 0.815 0.815
0.883 0.310 0.000
0.883 0.690 0.000
```

Top 8 peaks for 2θ from 10° to 90°, in order of falling intensity:
(hkl)  Position (°2θ)  Rel. int.
3 2 1  32.61  100
1 1 0  12.18  86
5 3 2  55.11  42
2 1 0  19.32  31
3 3 0  37.13  26
6 0 0  53.52  19
3 1 0  27.45  12
2 2 0  24.51  12

***

[2]
For Mg14ZnSb, a DFT-relaxed cell (GGA-PBE, the Materials Project) gives the simulated X-ray diffraction stick pattern in this record (λ = 1.5418 Å (Cu Kα)).
Neutral-atom scattering factors, no anomalous dispersion.

Structural model:
```
Mg14ZnSb
1.0
6.336 0.000 0.000
-3.168 5.487 0.000
0.000 0.000 10.299
Mg Zn Sb
14 1 1
Direct
0.000 0.000 0.250
0.000 0.000 0.750
0.333 0.166 0.000
0.333 0.167 0.500
0.500 0.001 0.255
0.500 0.001 0.745
0.500 0.500 0.255
0.500 0.500 0.745
0.833 0.167 0.500
0.833 0.667 0.500
0.834 0.166 0.000
0.834 0.667 0.000
0.999 0.500 0.255
0.999 0.500 0.745
0.333 0.667 0.500
0.333 0.667 0.000
```

Top 8 peaks for 2θ from 10° to 90°, in order of falling intensity:
(hkl)  Position (°2θ)  Rel. int.
2 0 2  37.13  100
1 0 0  16.15  33
2 0 0  32.64  28
1 0 2  23.70  27
0 0 4  34.85  26
2 0 6  63.98  19
2 2 4  69.70  19
2 0 4  48.49  18

***

[3]
For MgTi2Si2Ag4O10, a DFT-relaxed cell (GGA-PBE, the Materials Project) gives the simulated X-ray diffraction stick pattern in this record (λ = 1.5418 Å (Cu Kα)).
Neutral-atom scattering factors, no anomalous dispersion.

Structural model:
```
MgTi2Si2Ag4O10
1.0
6.461 0.000 0.000
0.000 6.461 0.000
0.000 0.000 6.311
Mg Ti Si Ag O
1 2 2 4 10
Direct
0.000 0.000 0.000
0.000 0.000 0.401
0.500 0.500 0.441
0.000 0.500 0.392
0.500 0.000 0.392
0.283 0.283 0.868
0.283 0.717 0.868
0.717 0.283 0.868
0.717 0.717 0.868
0.000 0.000 0.682
0.000 0.278 0.258
0.000 0.722 0.258
0.209 0.500 0.542
0.278 0.000 0.258
0.500 0.209 0.542
0.500 0.500 0.167
0.500 0.791 0.542
0.722 0.000 0.258
0.791 0.500 0.542
```

Top 8 peaks for 2θ from 10° to 90°, in order of falling intensity:
(hkl)  Position (°2θ)  Rel. int.
2 0 1  31.10  100
0 0 2  28.28  30
0 0 1  14.03  28
2 2 2  49.24  23
2 0 3  51.86  22
2 2 0  39.45  19
2 0 2  39.94  18
2 2 1  42.07  15

***

[4]
For Hf9CoMo4, a DFT-relaxed cell (GGA-PBE, the Materials Project) gives the simulated X-ray diffraction stick pattern in this record (λ = 1.5418 Å (Cu Kα)).
Neutral-atom scattering factors, no anomalous dispersion.

Structural model:
```
Hf9CoMo4
1.0
8.685 0.000 0.000
-4.342 7.521 0.000
0.000 0.000 8.416
Hf Co Mo
18 2 8
Direct
0.084 0.542 0.250
0.202 0.403 0.558
0.202 0.403 0.942
0.202 0.798 0.558
0.202 0.798 0.942
0.403 0.202 0.058
0.403 0.202 0.442
0.458 0.542 0.250
0.458 0.916 0.250
0.542 0.084 0.750
0.542 0.458 0.750
0.597 0.798 0.558
0.597 0.798 0.942
0.798 0.202 0.058
0.798 0.202 0.442
0.798 0.597 0.058
0.798 0.597 0.442
0.916 0.458 0.750
0.333 0.667 0.750
0.667 0.333 0.250
0.000 0.000 0.000
0.000 0.000 0.500
0.112 0.224 0.250
0.112 0.888 0.250
0.224 0.112 0.750
0.776 0.888 0.250
0.888 0.112 0.750
0.888 0.776 0.750
```

Top 8 peaks for 2θ from 10° to 90°, in order of falling intensity:
(hkl)  Position (°2θ)  Rel. int.
2 1 2  38.21  100
3 0 1  37.43  77
2 0 3  40.10  49
3 2 3  63.28  37
2 0 2  31.92  37
1 0 3  34.11  35
3 0 5  66.96  31
5 0 2  65.95  27

***

[5]
For ScAlO3, a DFT-relaxed cell (GGA-PBE, the Materials Project) gives the simulated X-ray diffraction stick pattern in this record (λ = 1.5418 Å (Cu Kα)).
Neutral-atom scattering factors, no anomalous dispersion.

Structural model:
```
ScAlO3
1.0
5.264 0.000 0.000
0.000 7.298 0.000
0.000 0.000 4.974
Sc Al O
4 4 12
Direct
0.068 0.250 0.022
0.432 0.750 0.522
0.568 0.250 0.478
0.932 0.750 0.978
0.000 0.000 0.500
0.000 0.500 0.500
0.500 0.000 0.000
0.500 0.500 0.000
0.046 0.750 0.378
0.195 0.562 0.808
0.195 0.938 0.808
0.305 0.062 0.308
0.305 0.438 0.308
0.454 0.250 0.878
0.546 0.750 0.122
0.695 0.562 0.692
0.695 0.938 0.692
0.805 0.062 0.192
0.805 0.438 0.192
0.954 0.250 0.622
```

Top 8 peaks for 2θ from 10° to 90°, in order of falling intensity:
(hkl)  Position (°2θ)  Rel. int.
1 2 1  34.94  100
1 2 3  64.19  35
2 0 2  50.49  31
0 4 0  49.99  23
1 1 1  27.53  21
3 1 1  57.07  21
2 0 0  34.06  19
1 1 2  42.05  17